(1)
For Na2LiSb, a structure optimized by DFT (GGA-PBE) gives the computed PXRD pattern in this record (Cu Kα (λ = 1.5418 Å)).
Lines closer than 0.1° are merged.

Cell and atoms:
```
Na2LiSb
1.0
-2.554 2.554 3.601
2.554 -2.554 3.601
2.554 2.554 -3.601
Na Li Sb
2 1 1
Cartesian
0.000 0.000 0.000
0.000 2.554 1.800
0.000 0.000 3.601
2.554 0.000 1.800
```

Most intense lines, 5 to 70 degrees two-theta, sorted by position:
- 4.167 Å, 2θ 21.32, I 75.2
- 3.608 Å, 2θ 24.67, I 54.9
- 2.552 Å, 2θ 35.17, I 100.0
- 2.178 Å, 2θ 41.47, I 26.6
- 2.173 Å, 2θ 41.57, I 13.2
- 2.083 Å, 2θ 43.44, I 16.0
- 1.806 Å, 2θ 50.53, I 11.5
- 1.656 Å, 2θ 55.50, I 16.9
- 1.615 Å, 2θ 57.03, I 14.1
- 1.474 Å, 2θ 63.07, I 22.9

---

(2)
For RbAgC2O6, a structure optimized by DFT (GGA-PBE) gives the computed PXRD pattern in this record (Cu Kα (λ = 1.5418 Å)).
Lines closer than 0.1° are merged.

Cell and atoms:
```
RbAgC2O6
1.0
5.132 -5.315 0.000
5.132 5.315 0.000
-2.322 0.000 5.986
Rb Ag C O
2 2 4 12
Cartesian
3.391 3.760 4.489
4.552 -3.760 1.496
4.552 0.962 1.496
3.391 -0.962 4.489
1.042 0.570 4.810
2.203 -0.570 1.817
5.739 0.570 4.169
6.900 -0.570 1.176
-0.034 1.011 4.353
2.481 0.717 1.658
1.127 -1.011 1.360
1.935 1.333 5.411
1.320 -0.717 4.651
4.847 1.333 3.568
3.096 -1.333 2.418
6.622 0.717 1.335
6.007 -1.333 0.575
6.815 1.011 4.626
5.462 -0.717 4.328
7.976 -1.011 1.633
```

Most intense lines, 5 to 70 degrees two-theta, sorted by position:
- 7.112 Å, 2θ 12.45, I 42.8
- 5.316 Å, 2θ 16.68, I 19.6
- 4.785 Å, 2θ 18.54, I 42.7
- 3.975 Å, 2θ 22.37, I 58.8
- 3.498 Å, 2θ 25.46, I 100.0
- 2.993 Å, 2θ 29.85, I 50.3
- 2.750 Å, 2θ 32.56, I 26.8
- 2.658 Å, 2θ 33.73, I 20.8
- 2.323 Å, 2θ 38.76, I 30.4
- 2.309 Å, 2θ 39.01, I 35.1

---

(3)
For Th4Au3N4, a structure optimized by DFT (GGA-PBE) gives the computed PXRD pattern in this record (Cu Kα (λ = 1.5418 Å)).
Lines closer than 0.1° are merged.

Cell and atoms:
```
Th4Au3N4
1.0
8.294 0.000 0.000
0.000 2.069 6.731
0.000 -2.069 6.731
Th Au N
4 3 4
Cartesian
0.000 0.000 0.000
2.021 0.000 9.052
4.147 0.000 0.122
6.273 0.000 9.052
0.000 0.000 4.210
2.734 0.000 4.739
5.560 0.000 4.739
0.000 0.000 7.848
2.047 0.000 1.170
4.147 0.000 8.037
6.246 0.000 1.170
```

Most intense lines, 5 to 70 degrees two-theta, sorted by position:
- 3.530 Å, 2θ 25.23, I 31.4
- 3.042 Å, 2θ 29.36, I 100.0
- 2.862 Å, 2θ 31.25, I 49.7
- 2.613 Å, 2θ 34.32, I 28.8
- 2.266 Å, 2θ 39.78, I 15.8
- 2.244 Å, 2θ 40.20, I 17.4
- 2.070 Å, 2θ 43.72, I 27.2
- 1.713 Å, 2θ 53.48, I 15.4
- 1.608 Å, 2θ 57.31, I 18.1
- 1.521 Å, 2θ 60.89, I 15.2

---

(4)
For Ba4Nd5Cu9O22, a structure optimized by DFT (GGA-PBE) gives the computed PXRD pattern in this record (Cu Kα (λ = 1.5418 Å)).
Lines closer than 0.1° are merged.

Cell and atoms:
```
Ba4Nd5Cu9O22
1.0
11.729 0.000 0.000
0.000 3.902 0.000
-3.913 0.000 11.707
Ba Nd Cu O
4 5 9 22
Cartesian
-0.036 0.000 3.717
-0.021 0.000 8.025
7.836 0.000 3.682
7.851 0.000 7.990
0.000 0.000 0.000
3.916 0.000 0.092
3.902 0.000 4.073
3.913 0.000 7.634
3.899 0.000 11.615
-1.957 1.951 5.853
-1.945 1.951 10.000
1.964 1.951 1.825
1.966 1.951 5.863
1.952 1.951 9.913
5.863 1.951 1.794
5.850 1.951 5.844
5.851 1.951 9.881
9.760 1.951 1.707
-1.957 0.000 5.853
-0.007 1.951 1.533
-1.941 1.951 7.729
-1.946 0.000 10.230
1.959 0.000 1.561
2.093 1.951 3.947
0.001 1.951 10.262
2.075 0.000 5.861
3.913 1.951 1.655
2.093 1.951 7.779
1.942 0.000 10.177
3.908 1.951 5.853
5.873 0.000 1.530
5.723 1.951 3.928
3.902 1.951 10.052
5.740 0.000 5.846
7.814 1.951 1.445
5.722 1.951 7.760
5.856 0.000 10.146
9.761 0.000 1.477
9.756 1.951 3.978
7.822 1.951 10.173
```

Most intense lines, 5 to 70 degrees two-theta, sorted by position:
- 3.904 Å, 2θ 22.78, I 10.3
- 2.761 Å, 2θ 32.43, I 100.0
- 2.342 Å, 2θ 38.44, I 2.3
- 2.254 Å, 2θ 40.00, I 10.6
- 1.952 Å, 2θ 46.51, I 26.8
- 1.746 Å, 2θ 52.40, I 4.7
- 1.595 Å, 2θ 57.81, I 12.4
- 1.594 Å, 2θ 57.87, I 24.2
- 1.381 Å, 2θ 67.87, I 10.1
- 1.380 Å, 2θ 67.95, I 4.2